Computed powder X-ray diffraction pattern
Compound: Nd2Ag3Pt
Radiation: Cu Kα (λ = 1.5418 Å)
Structure: a cell relaxed with PBE

Largest 10 diffraction maxima, low angle first, 10° ≤ 2θ ≤ 80°:
h k l	Position (°2θ)	Rel. int.
0 0 1	10.94	15
1 1 1	32.66	100
1 0 2	32.98	50
0 2 0	37.43	39
0 1 3	38.27	65
2 0 0	49.76	17
1 2 2	50.73	29
2 2 0	63.90	16
2 1 3	64.49	41
0 3 3	68.09	12

Structure:
a b c (Å): 3.6646 4.8049 8.0903
angles (deg): 90.00 90.00 90.00
Space group Pmm2 (No. 25)
Inequivalent atoms, fractional coordinates:
Nd 0.0000 0.0000 0.0000 x1
Nd 0.0000 0.5000 0.4442 x1
Ag 0.5000 0.0000 0.6374 x1
Ag 0.5000 0.5000 0.1291 x1
Ag 0.5000 0.5000 0.7941 x1
Pt 0.5000 0.0000 0.2979 x1